Entry 1:
Computed X-ray diffraction stick pattern
Compound: TbY3Pd4
Radiation: CuKα
Structure: a DFT-relaxed cell (GGA-PBE, OQMD)

Structural model:
abc: 5.613 4.567 6.967
angles: 90.00 90.01 90.00
Space group Pm (No. 6)
One atom of each set of equivalent atoms:
Tb1 0.000 0.000 0.000 (multiplicity 1)
Y1 0.286 0.500 0.365 (multiplicity 1)
Y2 0.500 0.500 0.864 (multiplicity 1)
Y3 0.785 0.000 0.500 (multiplicity 1)
Pd1 0.295 0.000 0.641 (multiplicity 1)
Pd2 0.489 0.000 0.140 (multiplicity 1)
Pd3 0.796 0.500 0.223 (multiplicity 1)
Pd4 0.990 0.500 0.725 (multiplicity 1)

Top 8 peaks for 15° ≤ 2θ ≤ 90°, by angle:
| index | d_spacing | intensity |
| --- | --- | --- |
| 1 1 1 | 3.158 | 24 |
| 0 1 2 | 2.770 | 70 |
| 2 0 1 | 2.603 | 48 |
| 1 1 -2 | 2.484 | 100 |
| 0 2 0 | 2.284 | 51 |
| 2 1 -1 | 2.262 | 87 |
| 2 2 1 | 1.717 | 27 |
| 1 0 -4 | 1.664 | 22 |


Entry 2:
Computed X-ray diffraction stick pattern
Compound: ZrZnIn
Radiation: CuKα
Structure: a DFT-relaxed cell (GGA-PBE, OQMD)

Structural model:
abc: 4.232 13.042 4.328
angles: 90.00 90.00 90.00
Space group Cmmm (No. 65)
One atom of each set of equivalent atoms:
Zr1 0.000 0.154 0.000 (multiplicity 4)
Zn1 0.000 0.000 0.500 (multiplicity 2)
Zn2 0.000 0.500 0.000 (multiplicity 2)
In1 0.000 0.336 0.500 (multiplicity 4)

Top 8 peaks for 15° ≤ 2θ ≤ 90°, by angle:
| index | d_spacing | intensity |
| --- | --- | --- |
| 1 3 1 | 2.484 | 100 |
| 0 6 0 | 2.174 | 16 |
| 0 0 2 | 2.164 | 17 |
| 2 0 0 | 2.116 | 16 |
| 2 0 2 | 1.513 | 10 |
| 1 9 1 | 1.307 | 10 |
| 1 3 3 | 1.303 | 13 |
| 3 3 1 | 1.282 | 11 |


Entry 3:
Computed X-ray diffraction stick pattern
Compound: Li2PdSe2O8
Radiation: CuKα
Structure: a DFT-relaxed cell (GGA-PBE, OQMD)

Structural model:
abc: 4.955 5.540 6.666
angles: 71.48 86.34 67.69
Space group P-1 (No. 2)
One atom of each set of equivalent atoms:
Li1 0.210 0.261 0.184 (multiplicity 2)
Pd1 0.500 0.500 0.500 (multiplicity 1)
Se1 0.141 0.146 0.733 (multiplicity 2)
O1 0.097 0.353 0.875 (multiplicity 2)
O2 0.185 0.865 0.328 (multiplicity 2)
O3 0.262 0.277 0.491 (multiplicity 2)
O4 0.360 0.828 0.851 (multiplicity 2)

Top 8 peaks for 15° ≤ 2θ ≤ 90°, by angle:
| index | d_spacing | intensity |
| --- | --- | --- |
| 0 1 1 | 4.625 | 100 |
| 1 0 1 | 3.594 | 54 |
| 1 1 -1 | 3.205 | 66 |
| 0 1 2 | 3.140 | 61 |
| 1 -1 0 | 2.837 | 55 |
| 1 2 1 | 2.702 | 20 |
| 1 0 -2 | 2.679 | 32 |
| 2 1 0 | 2.460 | 37 |


Entry 4:
Computed X-ray diffraction stick pattern
Compound: NdHfBi
Radiation: CuKα
Structure: a DFT-relaxed cell (GGA-PBE, OQMD)

Structural model:
abc: 7.170 7.170 7.170
angles: 90.00 90.00 90.00
Space group F-43m (No. 216)
One atom of each set of equivalent atoms:
Nd1 0.000 0.000 0.000 (multiplicity 4)
Hf1 0.000 0.000 0.500 (multiplicity 4)
Bi1 0.250 0.250 0.750 (multiplicity 4)

Top 8 peaks for 15° ≤ 2θ ≤ 90°, by angle:
| index | d_spacing | intensity |
| --- | --- | --- |
| 1 1 1 | 4.140 | 36 |
| 2 2 0 | 2.535 | 100 |
| 3 1 1 | 2.162 | 20 |
| 4 0 0 | 1.792 | 18 |
| 3 3 1 | 1.645 | 9 |
| 4 2 2 | 1.464 | 37 |
| 4 4 0 | 1.267 | 12 |
| 6 2 0 | 1.134 | 17 |


Entry 5:
Computed X-ray diffraction stick pattern
Compound: Ba2Li3TaN4
Radiation: CuKα
Structure: a DFT-relaxed cell (GGA-PBE, OQMD)

Structural model:
abc: 11.283 5.660 11.059
angles: 90.00 118.83 90.00
Space group C2/c (No. 15)
One atom of each set of equivalent atoms:
Ba1 0.153 0.216 0.112 (multiplicity 8)
Li1 0.000 0.382 0.250 (multiplicity 4)
Li2 0.176 0.295 0.542 (multiplicity 8)
Ta1 0.000 0.138 0.750 (multiplicity 4)
N1 0.077 0.342 0.661 (multiplicity 8)
N2 0.139 0.070 0.387 (multiplicity 8)

Top 8 peaks for 15° ≤ 2θ ≤ 90°, by angle:
| index | d_spacing | intensity |
| --- | --- | --- |
| 1 1 0 | 4.912 | 51 |
| 1 1 -1 | 4.878 | 87 |
| 3 1 -1 | 3.104 | 100 |
| 1 1 -3 | 3.055 | 99 |
| 2 0 2 | 2.842 | 65 |
| 4 0 -2 | 2.819 | 40 |
| 2 2 -1 | 2.529 | 34 |
| 4 0 -4 | 2.404 | 36 |


Entry 6:
Computed X-ray diffraction stick pattern
Compound: NaNb3O8
Radiation: CuKα
Structure: a DFT-relaxed cell (GGA-PBE, OQMD)

Structural model:
abc: 7.348 10.352 7.098
angles: 90.00 90.00 90.00
Space group Ibam (No. 72)
One atom of each set of equivalent atoms:
Na1 0.000 0.000 0.250 (multiplicity 4)
Nb1 0.000 0.500 0.250 (multiplicity 4)
Nb2 0.248 0.236 0.000 (multiplicity 8)
O1 0.015 0.165 0.000 (multiplicity 8)
O2 0.107 0.424 0.500 (multiplicity 8)
O3 0.200 0.361 0.202 (multiplicity 16)

Top 8 peaks for 15° ≤ 2θ ≤ 90°, by angle:
| index | d_spacing | intensity |
| --- | --- | --- |
| 2 2 0 | 2.996 | 100 |
| 0 2 2 | 2.927 | 87 |
| 0 4 0 | 2.588 | 15 |
| 2 0 2 | 2.552 | 35 |
| 2 4 2 | 1.817 | 60 |
| 0 0 4 | 1.774 | 17 |
| 4 2 2 | 1.556 | 31 |
| 2 2 4 | 1.527 | 24 |


Entry 7:
Computed X-ray diffraction stick pattern
Compound: La2AsPPd2
Radiation: CuKα
Structure: a DFT-relaxed cell (GGA-PBE, OQMD)

Structural model:
abc: 4.3605 4.3605 7.9908
angles: 90.00 90.00 120.00
Space group P-6m2 (No. 187)
One atom of each set of equivalent atoms:
La1 0.0000 0.0000 0.2458 (multiplicity 2)
As1 0.6667 0.3333 0.5000 (multiplicity 1)
P1 0.3333 0.6667 0.0000 (multiplicity 1)
Pd1 0.3333 0.6667 0.5000 (multiplicity 1)
Pd2 0.6667 0.3333 0.0000 (multiplicity 1)

Top 8 peaks for 15° ≤ 2θ ≤ 90°, by angle:
| index | d_spacing | intensity |
| --- | --- | --- |
| 1 0 1 | 3.414 | 9 |
| 1 0 2 | 2.744 | 100 |
| 1 1 0 | 2.180 | 51 |
| 0 0 4 | 1.998 | 12 |
| 2 0 2 | 1.707 | 24 |
| 1 1 4 | 1.473 | 28 |
| 2 1 2 | 1.344 | 21 |
| 3 0 0 | 1.259 | 9 |


Entry 8:
Computed X-ray diffraction stick pattern
Compound: K3Na3Nb8P5O35
Radiation: CuKα
Structure: a DFT-relaxed cell (GGA-PBE, OQMD)

Structural model:
abc: 9.0115 9.0115 30.4067
angles: 90.00 90.00 120.00
Space group R32 (No. 155, hexagonal axes)
One atom of each set of equivalent atoms:
K1 0.0000 0.5895 0.0000 (multiplicity 9)
Na1 0.0000 0.7846 0.5000 (multiplicity 9)
Nb1 0.0000 0.0000 0.2347 (multiplicity 6)
Nb2 0.0070 0.2416 0.0636 (multiplicity 18)
P1 0.0000 0.0000 0.4071 (multiplicity 6)
P2 0.0000 0.4427 0.5000 (multiplicity 9)
O1 0.0000 0.0000 0.4565 (multiplicity 6)
O2 0.0000 0.2328 0.0000 (multiplicity 9)
O3 0.0122 0.1876 0.2668 (multiplicity 18)
O4 0.0116 0.8260 0.9307 (multiplicity 18)
O5 0.0352 0.2869 0.1318 (multiplicity 18)
O6 0.0543 0.8542 0.8114 (multiplicity 18)
O7 0.0553 0.1783 0.6130 (multiplicity 18)

Top 8 peaks for 15° ≤ 2θ ≤ 90°, by angle:
| index | d_spacing | intensity |
| --- | --- | --- |
| 0 0 6 | 5.068 | 37 |
| 1 1 0 | 4.506 | 67 |
| 1 0 7 | 3.792 | 44 |
| 0 2 4 | 3.471 | 33 |
| 0 0 9 | 3.371 | 100 |
| 2 1 1 | 2.936 | 88 |
| 1 2 2 | 2.896 | 47 |
| 1 1 9 | 2.703 | 43 |


Entry 9:
Computed X-ray diffraction stick pattern
Compound: Ba2Lu2O5
Radiation: CuKα
Structure: a DFT-relaxed cell (GGA-PBE, OQMD)

Structural model:
abc: 16.597 6.273 6.073
angles: 90.00 90.00 90.00
Space group Ima2 (No. 46)
One atom of each set of equivalent atoms:
Ba1 0.108 0.021 0.000 (multiplicity 8)
Lu1 0.000 0.000 0.507 (multiplicity 4)
Lu2 0.250 0.568 0.969 (multiplicity 4)
O1 0.011 0.745 0.754 (multiplicity 8)
O2 0.137 0.061 0.528 (multiplicity 8)
O3 0.250 0.639 0.632 (multiplicity 4)

Top 8 peaks for 15° ≤ 2θ ≤ 90°, by angle:
| index | d_spacing | intensity |
| --- | --- | --- |
| 0 2 0 | 3.136 | 28 |
| 0 0 2 | 3.037 | 32 |
| 4 1 1 | 3.007 | 100 |
| 0 2 2 | 2.182 | 25 |
| 8 0 0 | 2.075 | 12 |
| 4 3 1 | 1.785 | 15 |
| 4 1 3 | 1.747 | 21 |
| 8 2 2 | 1.503 | 10 |


Entry 10:
Computed X-ray diffraction stick pattern
Compound: YPa3N6
Radiation: CuKα
Structure: a DFT-relaxed cell (GGA-PBE, OQMD)

Structural model:
abc: 7.789 11.164 3.662
angles: 90.00 90.00 90.00
Space group Cmmm (No. 65)
One atom of each set of equivalent atoms:
Y1 0.000 0.000 0.000 (multiplicity 2)
Pa1 0.000 0.500 0.000 (multiplicity 2)
Pa2 0.250 0.250 0.500 (multiplicity 4)
N1 0.000 0.150 0.500 (multiplicity 4)
N2 0.202 0.370 0.000 (multiplicity 8)

Top 8 peaks for 15° ≤ 2θ ≤ 90°, by angle:
| index | d_spacing | intensity |
| --- | --- | --- |
| 2 2 0 | 3.194 | 100 |
| 0 2 1 | 3.062 | 92 |
| 0 4 0 | 2.791 | 29 |
| 2 0 1 | 2.668 | 52 |
| 2 4 1 | 1.928 | 58 |
| 4 2 1 | 1.643 | 31 |
| 2 2 2 | 1.588 | 27 |
| 2 6 2 | 1.237 | 23 |


Entry 11:
Computed X-ray diffraction stick pattern
Compound: Cu5Ag4
Radiation: CuKα
Structure: a DFT-relaxed cell (GGA-PBE, OQMD)

Structural model:
abc: 11.706 2.764 8.363
angles: 90.00 104.28 90.00
Space group Cm (No. 8)
One atom of each set of equivalent atoms:
Cu1 0.000 0.000 0.000 (multiplicity 2)
Cu2 0.008 0.000 0.315 (multiplicity 2)
Cu3 0.188 0.500 0.899 (multiplicity 2)
Cu4 0.340 0.000 0.797 (multiplicity 2)
Cu5 0.349 0.000 0.106 (multiplicity 2)
Ag1 0.010 0.000 0.692 (multiplicity 2)
Ag2 0.172 0.500 0.207 (multiplicity 2)
Ag3 0.177 0.500 0.559 (multiplicity 2)
Ag4 0.353 0.000 0.436 (multiplicity 2)

Top 8 peaks for 15° ≤ 2θ ≤ 90°, by angle:
| index | d_spacing | intensity |
| --- | --- | --- |
| 4 0 -3 | 2.253 | 32 |
| 3 1 0 | 2.232 | 100 |
| 1 1 -3 | 1.963 | 43 |
| 6 0 0 | 1.891 | 19 |
| 7 1 -3 | 1.366 | 11 |
| 5 1 3 | 1.357 | 11 |
| 4 2 -3 | 1.178 | 7 |
| 2 2 3 | 1.175 | 7 |


Entry 12:
Computed X-ray diffraction stick pattern
Compound: Sr2NiIr
Radiation: CuKα
Structure: a DFT-relaxed cell (GGA-PBE, OQMD)

Structural model:
abc: 4.2187 4.2187 24.0355
angles: 90.00 90.00 120.00
Space group R3m (No. 160, hexagonal axes)
One atom of each set of equivalent atoms:
Sr1 0.0000 0.0000 0.0000 (multiplicity 3)
Sr2 0.0000 0.0000 0.1642 (multiplicity 3)
Ni1 0.0000 0.0000 0.4154 (multiplicity 3)
Ir1 0.0000 0.0000 0.7488 (multiplicity 3)

Top 8 peaks for 15° ≤ 2θ ≤ 90°, by angle:
| index | d_spacing | intensity |
| --- | --- | --- |
| 1 0 4 | 3.122 | 76 |
| 0 1 5 | 2.909 | 100 |
| 1 0 7 | 2.502 | 69 |
| 0 1 8 | 2.321 | 38 |
| 1 1 0 | 2.109 | 84 |
| 1 1 3 | 2.040 | 55 |
| 1 1 9 | 1.655 | 25 |
| 1 1 12 | 1.453 | 53 |